KNiBr3O6: theoretical powder diffractogram (Cu Kα), based on a structure optimized by DFT (PBE+U).
Neutral-atom scattering factors, no anomalous dispersion.

Most intense lines, 10° ≤ 2θ ≤ 90°, most intense first:
| Position (°2θ) | d [Å] | I_rel |
| --- | --- | --- |
| 17.0 | 5.210 | 100 |
| 29.8 | 2.995 | 78 |
| 26.4 | 3.370 | 50 |
| 36.9 | 2.437 | 46 |
| 28.8 | 3.097 | 46 |
| 31.7 | 2.824 | 33 |
| 31.3 | 2.860 | 29 |
| 28.6 | 3.117 | 28 |
| 32.1 | 2.791 | 26 |
| 36.4 | 2.468 | 23 |

```
KNiBr3O6
1.0
5.451 -3.533 0.000
5.451 3.533 0.000
-3.475 0.000 11.296
K Ni Br O
2 2 6 12
Cartesian
2.845 3.323 8.472 K
4.583 -3.323 2.824 K
2.726 1.766 0.000 Ni
0.988 -1.766 5.648 Ni
0.988 1.766 5.648 Br
2.748 0.335 2.989 Br
1.010 -0.335 8.637 Br
2.726 -1.766 0.000 Br
6.417 0.335 2.659 Br
4.680 -0.335 8.307 Br
1.799 1.111 1.743 O
3.351 1.542 4.030 O
-0.920 0.033 10.547 O
0.817 -0.033 4.899 O
5.815 1.542 1.618 O
0.062 -1.111 7.391 O
7.366 1.111 3.905 O
1.613 -1.542 9.678 O
6.610 0.033 6.397 O
8.348 -0.033 0.749 O
4.077 -1.542 7.266 O
5.628 -1.111 9.552 O
```